Fe4O7F: simulated XRD peak list (Cu Kα X-rays), based on the PBE+U geometry in Alexandria.

Main lines, sorted by position (2θ from 10° to 80°):
2θ 27.56, d 3.237, I 100; 2θ 35.74, d 2.512, I 54; 2θ 39.37, d 2.289, I 10; 2θ 40.98, d 2.202, I 14; 2θ 54.17, d 1.693, I 29; 2θ 54.27, d 1.690, I 29; 2θ 56.90, d 1.618, I 16; 2θ 64.36, d 1.447, I 9; 2θ 68.89, d 1.363, I 11; 2θ 69.01, d 1.361, I 15

Cell and atoms:
Cell: 7.5448 4.5765 7.5652 Å, 90.00 105.41 90.00°
Space group P2_1 (No. 4)
Asymmetric unit:
Fe 0.0514 0.0000 0.1870 [2 per cell]
Fe 0.1837 0.4865 0.5555 [2 per cell]
Fe 0.3117 0.0052 0.9240 [2 per cell]
Fe 0.4442 0.4648 0.3210 [2 per cell]
O 0.0329 0.7926 0.4092 [2 per cell]
O 0.0908 0.1846 0.9649 [2 per cell]
O 0.1656 0.6835 0.7769 [2 per cell]
O 0.2145 0.2932 0.3373 [2 per cell]
O 0.3419 0.1893 0.7029 [2 per cell]
O 0.4024 0.6704 0.5259 [2 per cell]
O 0.4657 0.2995 0.0940 [2 per cell]
F 0.2846 0.7918 0.1567 [2 per cell]


Fe7O3F9: simulated XRD peak list (Cu Kα X-rays), based on the PBE+U geometry in Alexandria.

Main lines, sorted by position (2θ from 10° to 80°):
2θ 10.10, d 8.756, I 29; 2θ 18.43, d 4.813, I 28; 2θ 22.23, d 3.999, I 27; 2θ 22.63, d 3.929, I 31; 2θ 31.28, d 2.860, I 100; 2θ 31.64, d 2.828, I 47; 2θ 32.55, d 2.751, I 39; 2θ 33.57, d 2.670, I 35; 2θ 33.75, d 2.656, I 42; 2θ 58.94, d 1.567, I 27

Cell and atoms:
Cell: 5.5033 5.6758 9.1302 Å, 75.35 89.61 61.85°
Space group P1 (No. 1)
Asymmetric unit:
Fe 0.0000 0.0000 0.0000 [1 per cell]
Fe 0.0181 0.8737 0.3595 [1 per cell]
Fe 0.1586 0.5113 0.7438 [1 per cell]
Fe 0.2874 0.3584 0.1018 [1 per cell]
Fe 0.4483 0.9855 0.5079 [1 per cell]
Fe 0.5318 0.8814 0.8564 [1 per cell]
Fe 0.7031 0.4354 0.5894 [1 per cell]
O 0.2356 0.1855 0.9403 [1 per cell]
O 0.3004 0.6627 0.5538 [1 per cell]
O 0.7274 0.6932 0.6972 [1 per cell]
F 0.1336 0.2111 0.6299 [1 per cell]
F 0.2104 0.1433 0.3058 [1 per cell]
F 0.2502 0.6649 0.2013 [1 per cell]
F 0.2956 0.6728 0.8951 [1 per cell]
F 0.6992 0.1852 0.7896 [1 per cell]
F 0.7092 0.1705 0.4764 [1 per cell]
F 0.7331 0.1414 0.1614 [1 per cell]
F 0.7635 0.6766 0.4047 [1 per cell]
F 0.8560 0.7075 0.0256 [1 per cell]


Fe6O5F7: simulated XRD peak list (Cu Kα X-rays), based on the PBE+U geometry in Alexandria.

Main lines, sorted by position (2θ from 10° to 80°):
2θ 25.71, d 3.465, I 100; 2θ 27.40, d 3.255, I 92; 2θ 34.56, d 2.595, I 50; 2θ 34.70, d 2.585, I 49; 2θ 51.36, d 1.779, I 47; 2θ 52.85, d 1.732, I 19; 2θ 53.10, d 1.725, I 29; 2θ 53.38, d 1.716, I 24; 2θ 66.20, d 1.412, I 20; 2θ 66.52, d 1.406, I 19

Cell and atoms:
Cell: 5.6604 5.6611 7.2226 Å, 73.62 73.49 75.48°
Space group P1 (No. 1)
Asymmetric unit:
Fe 0.0000 0.0000 0.0000 [1 per cell]
Fe 0.0043 0.0076 0.4926 [1 per cell]
Fe 0.3372 0.3326 0.6550 [1 per cell]
Fe 0.3853 0.3283 0.1643 [1 per cell]
Fe 0.6560 0.6536 0.8190 [1 per cell]
Fe 0.6821 0.7010 0.3106 [1 per cell]
O 0.2356 0.2287 0.4612 [1 per cell]
O 0.4339 0.4300 0.8583 [1 per cell]
O 0.5893 0.5781 0.1127 [1 per cell]
O 0.6445 0.0352 0.1653 [1 per cell]
O 0.7807 0.7777 0.5303 [1 per cell]
F 0.0501 0.6213 0.1690 [1 per cell]
F 0.1166 0.1031 0.1990 [1 per cell]
F 0.3167 0.6954 0.4896 [1 per cell]
F 0.3747 0.9746 0.8198 [1 per cell]
F 0.6988 0.3164 0.4895 [1 per cell]
F 0.9110 0.8996 0.7848 [1 per cell]
F 0.9785 0.3742 0.8158 [1 per cell]


Fe4O7F: simulated XRD peak list (Cu Kα X-rays), based on the PBE+U geometry in Alexandria.

Main lines, sorted by position (2θ from 10° to 80°):
2θ 27.46, d 3.248, I 90; 2θ 28.29, d 3.154, I 89; 2θ 36.05, d 2.492, I 100; 2θ 39.84, d 2.263, I 18; 2θ 54.33, d 1.689, I 52; 2θ 55.28, d 1.662, I 51; 2θ 58.52, d 1.577, I 14; 2θ 62.21, d 1.492, I 15; 2θ 69.80, d 1.347, I 17; 2θ 69.93, d 1.345, I 17

Cell and atoms:
Cell: 9.0638 11.9385 4.5232 Å, 90.00 91.68 90.00°
Space group Cm (No. 8)
Asymmetric unit:
Fe 0.0000 0.0000 0.0000 [2 per cell]
Fe 0.0183 0.2550 0.9726 [4 per cell]
Fe 0.0298 0.5000 0.9563 [2 per cell]
Fe 0.2680 0.3739 0.4701 [4 per cell]
Fe 0.2804 0.1248 0.4489 [4 per cell]
O 0.1186 0.3747 0.7660 [4 per cell]
O 0.1720 0.2490 0.2720 [4 per cell]
O 0.1733 0.0000 0.2755 [2 per cell]
O 0.1791 0.5000 0.2641 [2 per cell]
O 0.3652 0.5000 0.6570 [2 per cell]
O 0.3663 0.2482 0.6680 [4 per cell]
O 0.3731 0.0000 0.6610 [2 per cell]
O 0.4184 0.3674 0.1751 [4 per cell]
O 0.4321 0.1219 0.1477 [4 per cell]
F 0.1132 0.1251 0.7797 [4 per cell]